Simulated powder X-ray diffraction pattern of Dy2B2C3 for Cu Kα (λ = 1.5418 Å), from DFT lattice parameters and positions (GGA-PBE).

The 10 most intense peaks (15° ≤ 2θ ≤ 90°), by angle:
| two_theta | Rel. int. |
| --- | --- |
| 23.4 | 100 |
| 25.2 | 65 |
| 30.9 | 42 |
| 34.5 | 51 |
| 34.8 | 40 |
| 35.2 | 39 |
| 35.8 | 55 |
| 39.8 | 57 |
| 52.3 | 22 |
| 55.0 | 20 |

Crystal structure
```
Dy2B2C3
1.0
5.162 -1.508 0.000
5.162 1.508 0.000
-0.366 0.000 5.205
Dy B C
2 2 3
direct
0.142 0.142 0.256
0.858 0.858 0.744
0.394 0.394 0.192
0.606 0.606 0.808
0.165 0.165 0.735
0.500 0.500 0.000
0.835 0.835 0.265
```